[1]
Structure and computed powder diffraction line list of MgAg2O4 (a DFT-relaxed cell (GGA-PBE, the Materials Project); Cu Ka).
No peak broadening, texture or thermal motion is included.

Peak list (12 most intense, 2θ from 10° to 80°, in order of falling intensity)
2theta	I (rel.)	(hkl)
40.0	100	2 0 4
32.9	100	1 1 3
17.0	95	0 1 1
32.8	78	2 0 1
34.3	63	0 2 2
17.2	57	0 0 3
57.5	55	2 2 0
58.2	54	0 2 8
33.2	51	1 0 5
52.7	31	2 1 5
52.5	25	3 0 3
69.0	22	2 2 6

Crystal structure
```
data_MgAg2O4
_chemical_formula_sum 'Mg6 Ag12 O24'
_cell_length_a 6.4136
_cell_length_b 6.4136
_cell_length_c 15.4619
_cell_angle_alpha 90.00
_cell_angle_beta 90.00
_cell_angle_gamma 120.00
_symmetry_space_group_name_H-M 'P 3 m 1'
_symmetry_Int_Tables_number 156
loop_
_symmetry_equiv_pos_as_xyz
'x,y,z'
'-y,x-y,z'
'-x+y,-x,z'
'-y,-x,z'
'-x+y,y,z'
'x,x-y,z'
loop_
_atom_site_label
_atom_site_type_symbol
_atom_site_fract_x
_atom_site_fract_y
_atom_site_fract_z
Mg1 Mg 0.0000 0.0000 0.0000
Mg2 Mg 0.0000 0.0000 0.2414
Mg3 Mg 0.3333 0.6667 0.5750
Mg4 Mg 0.6667 0.3333 0.2867
Mg5 Mg 0.6667 0.3333 0.6670
Mg6 Mg 0.6667 0.3333 0.9137
Ag1 Ag 0.0000 0.0000 0.6230
Ag2 Ag 0.1671 0.3342 0.7893
Ag3 Ag 0.3333 0.6667 0.3327
Ag4 Ag 0.3333 0.6667 0.9566
Ag5 Ag 0.3361 0.1680 0.4546
Ag6 Ag 0.5027 0.0055 0.1237
O1 O 0.0000 0.0000 0.3724
O2 O 0.0000 0.0000 0.8696
O3 O 0.0101 0.5051 0.8711
O4 O 0.1572 0.3144 0.5303
O5 O 0.1724 0.3448 0.0445
O6 O 0.3217 0.1609 0.7075
O7 O 0.3333 0.6667 0.1938
O8 O 0.3333 0.6667 0.7065
O9 O 0.3571 0.1785 0.2084
O10 O 0.5214 0.0428 0.3780
O11 O 0.6667 0.3333 0.0447
O12 O 0.6667 0.3333 0.5391
```

---

[2]
Structure and computed powder diffraction line list of MgAg3P3O13 (a DFT-relaxed cell (GGA-PBE, the Materials Project); Cu Ka).
No peak broadening, texture or thermal motion is included.

Peak list (12 most intense, 2θ from 10° to 80°, in order of falling intensity)
2theta	I (rel.)	(hkl)
19.0	100	1 0 -2
29.3	61	1 0 3
16.1	42	0 1 1
25.2	42	2 0 1
31.7	36	2 0 -3
28.9	32	0 2 1
36.0	32	2 2 0
13.1	31	1 0 -1
31.6	31	1 2 1
27.6	30	0 2 0
46.0	25	3 2 -2
23.0	23	2 0 -1

Crystal structure
```
data_MgAg3P3O13
_chemical_formula_sum 'Mg2 Ag6 P6 O26'
_cell_length_a 7.9628
_cell_length_b 6.4566
_cell_length_c 10.6244
_cell_angle_alpha 90.00
_cell_angle_beta 97.93
_cell_angle_gamma 90.00
_symmetry_space_group_name_H-M 'P 1 21/m 1'
_symmetry_Int_Tables_number 11
loop_
_symmetry_equiv_pos_as_xyz
'x,y,z'
'-x,-y,-z'
'-x,y+1/2,-z'
'x,-y+1/2,z'
loop_
_atom_site_label
_atom_site_type_symbol
_atom_site_fract_x
_atom_site_fract_y
_atom_site_fract_z
Mg1 Mg 0.1150 0.2500 0.1592
Ag1 Ag 0.1644 0.2500 0.7864
Ag2 Ag 0.2419 0.7500 0.4314
Ag3 Ag 0.5000 0.0000 0.0000
P1 P 0.1705 0.7500 0.1127
P2 P 0.2369 0.7500 0.7568
P3 P 0.2734 0.2500 0.4972
O1 O 0.0058 0.7500 0.0190
O2 O 0.1091 0.7500 0.2486
O3 O 0.1111 0.5721 0.7812
O4 O 0.1240 0.2500 0.5775
O5 O 0.2457 0.0692 0.3975
O6 O 0.2672 0.5413 0.1088
O7 O 0.3050 0.7500 0.6302
O8 O 0.3898 0.2500 0.9060
O9 O 0.3944 0.7500 0.8598
O10 O 0.4397 0.2500 0.5856
```

---

[3]
Structure and computed powder diffraction line list of MgAg4P4O12 (a DFT-relaxed cell (GGA-PBE, the Materials Project); Cu Ka).
No peak broadening, texture or thermal motion is included.

Peak list (12 most intense, 2θ from 10° to 80°, in order of falling intensity)
2theta	I (rel.)	(hkl)
24.7	100	1 -1 0
14.2	82	0 0 2
21.9	70	0 1 2
31.2	66	1 1 2
27.8	65	1 -1 2
36.6	61	-1 2 1
29.3	57	1 0 -3
35.1	45	1 -2 0
37.0	41	1 -1 4
30.6	38	0 2 -2
34.9	34	1 0 -4
24.0	33	0 1 -3

Crystal structure
```
data_MgAg4P4O12
_chemical_formula_sum 'Mg1 Ag4 P4 O12'
_cell_length_a 4.3137
_cell_length_b 6.1881
_cell_length_c 12.6050
_cell_angle_alpha 98.72
_cell_angle_beta 91.91
_cell_angle_gamma 92.74
_symmetry_space_group_name_H-M 'P 1'
_symmetry_Int_Tables_number 1
loop_
_symmetry_equiv_pos_as_xyz
'x,y,z'
loop_
_atom_site_label
_atom_site_type_symbol
_atom_site_fract_x
_atom_site_fract_y
_atom_site_fract_z
Mg1 Mg 0.0000 0.0000 0.0000
Ag1 Ag 0.0343 0.0965 0.8014
Ag2 Ag 0.0706 0.2526 0.2869
Ag3 Ag 0.4365 0.8350 0.4065
Ag4 Ag 0.5388 0.8346 0.8402
P1 P 0.1431 0.5008 0.6348
P2 P 0.3780 0.4813 0.0432
P3 P 0.6166 0.3501 0.4828
P4 P 0.9076 0.7341 0.1689
O1 O 0.0505 0.7022 0.2739
O2 O 0.1399 0.6826 0.0683
O3 O 0.2166 0.2773 0.0722
O4 O 0.3093 0.7215 0.6592
O5 O 0.3748 0.3217 0.5737
O6 O 0.4650 0.4550 0.3938
O7 O 0.5097 0.4936 0.9375
O8 O 0.6327 0.5494 0.1424
O9 O 0.7517 0.1301 0.4472
O10 O 0.8083 0.9584 0.1487
O11 O 0.8867 0.5214 0.5373
O12 O 0.9900 0.3917 0.7185
```

---

Please write out number 1 again, unchanged.
Structure and computed powder diffraction line list of MgAg2O4 (a DFT-relaxed cell (GGA-PBE, the Materials Project); Cu Ka).
No peak broadening, texture or thermal motion is included.

Peak list (12 most intense, 2θ from 10° to 80°, in order of falling intensity)
2theta	I (rel.)	(hkl)
40.0	100	2 0 4
32.9	100	1 1 3
17.0	95	0 1 1
32.8	78	2 0 1
34.3	63	0 2 2
17.2	57	0 0 3
57.5	55	2 2 0
58.2	54	0 2 8
33.2	51	1 0 5
52.7	31	2 1 5
52.5	25	3 0 3
69.0	22	2 2 6

Crystal structure
```
data_MgAg2O4
_chemical_formula_sum 'Mg6 Ag12 O24'
_cell_length_a 6.4136
_cell_length_b 6.4136
_cell_length_c 15.4619
_cell_angle_alpha 90.00
_cell_angle_beta 90.00
_cell_angle_gamma 120.00
_symmetry_space_group_name_H-M 'P 3 m 1'
_symmetry_Int_Tables_number 156
loop_
_symmetry_equiv_pos_as_xyz
'x,y,z'
'-y,x-y,z'
'-x+y,-x,z'
'-y,-x,z'
'-x+y,y,z'
'x,x-y,z'
loop_
_atom_site_label
_atom_site_type_symbol
_atom_site_fract_x
_atom_site_fract_y
_atom_site_fract_z
Mg1 Mg 0.0000 0.0000 0.0000
Mg2 Mg 0.0000 0.0000 0.2414
Mg3 Mg 0.3333 0.6667 0.5750
Mg4 Mg 0.6667 0.3333 0.2867
Mg5 Mg 0.6667 0.3333 0.6670
Mg6 Mg 0.6667 0.3333 0.9137
Ag1 Ag 0.0000 0.0000 0.6230
Ag2 Ag 0.1671 0.3342 0.7893
Ag3 Ag 0.3333 0.6667 0.3327
Ag4 Ag 0.3333 0.6667 0.9566
Ag5 Ag 0.3361 0.1680 0.4546
Ag6 Ag 0.5027 0.0055 0.1237
O1 O 0.0000 0.0000 0.3724
O2 O 0.0000 0.0000 0.8696
O3 O 0.0101 0.5051 0.8711
O4 O 0.1572 0.3144 0.5303
O5 O 0.1724 0.3448 0.0445
O6 O 0.3217 0.1609 0.7075
O7 O 0.3333 0.6667 0.1938
O8 O 0.3333 0.6667 0.7065
O9 O 0.3571 0.1785 0.2084
O10 O 0.5214 0.0428 0.3780
O11 O 0.6667 0.3333 0.0447
O12 O 0.6667 0.3333 0.5391
```

---

> Which formula does entry 1 have?

MgAg2O4